Starting from a GGA-PBE-relaxed structure, the powder diffractogram of TlPb was calculated for Cu Kα, 1.54184 Å.
Intensities are scaled so that the largest is 100.

Crystal structure
Cell lengths 3.5606, 3.5606, 17.3694 Å; angles 90.00, 90.00, 120.00 degrees
Space group R-3m (No. 166, hexagonal axes)
One atom of each set of equivalent atoms:
Tl  0.0000  0.0000  0.0000 [3 per cell]
Pb  0.0000  0.0000  0.5000 [3 per cell]

Principal peaks in the range 2θ = 15–90°, low angle first:
2θ 30.77, I = 100.0, hkl 0 1 2; 2θ 30.89, I = 33.0, hkl 0 0 6; 2θ 35.71, I = 67.9, hkl 1 0 4; 2θ 51.32, I = 24.7, hkl 1 1 0; 2θ 51.48, I = 24.5, hkl 0 1 8; 2θ 61.09, I = 44.3, hkl 2 0 2